[1]
This entry pairs a crystal structure of Pr3Zn2Rh4 with its calculated powder diffractogram. Radiation: copper Kα. Structure: a DFT-relaxed cell (PBE, Alexandria).

```
data_Pr3Zn2Rh4
_symmetry_space_group_name_H-M 'C 1 2/m 1'
_symmetry_Int_Tables_number 12
_symmetry_space_group_name_Hall '-C 2y'
_cell_length_a 10.265
_cell_length_b 4.284
_cell_length_c 8.673
_cell_angle_alpha 90.00
_cell_angle_beta 96.88
_cell_angle_gamma 90.00
loop_
_atom_site_label
_atom_site_type_symbol
_atom_site_fract_x
_atom_site_fract_y
_atom_site_fract_z
_atom_site_occupancy
Pr1 Pr 0.000 0.000 0.000 1
Pr2 Pr 0.122 0.500 0.379 1
Zn1 Zn 0.181 0.500 0.781 1
Rh1 Rh 0.090 0.000 0.637 1
Rh2 Rh 0.218 0.500 0.087 1
```

Main lines, low angle first (5° ≤ 2θ ≤ 70°):
2θ/deg, intensity
25.24, 53
29.99, 32
31.16, 24
33.67, 74
33.96, 38
35.53, 26
36.25, 31
38.03, 100
39.67, 77
41.53, 30
42.19, 62
67.60, 29

[2]
This entry pairs a crystal structure of Pr3Zn3Rh with its calculated powder diffractogram. Radiation: copper Kα. Structure: a DFT-relaxed cell (PBE, Alexandria).

```
data_Pr3Zn3Rh
_symmetry_space_group_name_H-M 'C 1 2/m 1'
_symmetry_Int_Tables_number 12
_symmetry_space_group_name_Hall '-C 2y'
_cell_length_a 11.299
_cell_length_b 3.962
_cell_length_c 15.668
_cell_angle_alpha 90.00
_cell_angle_beta 105.48
_cell_angle_gamma 90.00
loop_
_atom_site_label
_atom_site_type_symbol
_atom_site_fract_x
_atom_site_fract_y
_atom_site_fract_z
_atom_site_occupancy
Pr1 Pr 0.020 0.000 0.387 1
Pr2 Pr 0.126 0.000 0.924 1
Pr3 Pr 0.233 0.000 0.238 1
Zn1 Zn 0.015 0.500 0.228 1
Zn2 Zn 0.094 0.500 0.076 1
Zn3 Zn 0.174 0.500 0.534 1
Rh1 Rh 0.214 0.500 0.369 1
```

Main lines, low angle first (5° ≤ 2θ ≤ 70°):
2θ/deg, intensity
31.16, 84
31.82, 39
32.19, 94
32.82, 100
35.68, 30
37.16, 34
37.80, 65
38.15, 39
45.81, 51
49.77, 33
61.05, 28
62.14, 31

[3]
This entry pairs a crystal structure of Pr2ZnRh2 with its calculated powder diffractogram. Radiation: copper Kα. Structure: a DFT-relaxed cell (PBE, Alexandria).

```
data_Pr2ZnRh2
_symmetry_space_group_name_H-M 'C 1 2/c 1'
_symmetry_Int_Tables_number 15
_symmetry_space_group_name_Hall '-C 2yc'
_cell_length_a 10.242
_cell_length_b 5.588
_cell_length_c 7.990
_cell_angle_alpha 90.00
_cell_angle_beta 106.40
_cell_angle_gamma 90.00
loop_
_atom_site_label
_atom_site_type_symbol
_atom_site_fract_x
_atom_site_fract_y
_atom_site_fract_z
_atom_site_occupancy
Pr1 Pr 0.147 0.148 0.149 1
Zn1 Zn 0.000 0.363 0.750 1
Rh1 Rh 0.133 0.358 0.513 1
```

Main lines, low angle first (5° ≤ 2θ ≤ 70°):
2θ/deg, intensity
25.11, 38
31.69, 36
33.47, 47
34.15, 64
34.55, 40
36.47, 38
36.58, 40
37.24, 65
37.44, 100
40.50, 58
48.58, 26
64.04, 32

[4]
This entry pairs a crystal structure of Pr3Zn2Rh with its calculated powder diffractogram. Radiation: copper Kα. Structure: a DFT-relaxed cell (PBE, Alexandria).

```
data_Pr3Zn2Rh
_symmetry_space_group_name_H-M 'P n m a'
_symmetry_Int_Tables_number 62
_symmetry_space_group_name_Hall '-P 2ac 2n'
_cell_length_a 12.513
_cell_length_b 4.585
_cell_length_c 10.830
_cell_angle_alpha 90.00
_cell_angle_beta 90.00
_cell_angle_gamma 90.00
loop_
_atom_site_label
_atom_site_type_symbol
_atom_site_fract_x
_atom_site_fract_y
_atom_site_fract_z
_atom_site_occupancy
Pr1 Pr 0.056 0.250 0.111 1
Pr2 Pr 0.110 0.750 0.560 1
Pr3 Pr 0.236 0.250 0.788 1
Zn1 Zn 0.011 0.750 0.294 1
Zn2 Zn 0.204 0.750 0.993 1
Rh1 Rh 0.116 0.250 0.366 1
```

Main lines, low angle first (5° ≤ 2θ ≤ 70°):
2θ/deg, intensity
25.45, 36
26.98, 21
29.24, 24
30.12, 29
31.54, 100
33.07, 21
33.43, 38
33.87, 19
35.72, 59
39.30, 60
41.33, 22
44.25, 20

> Which formula does entry 1 have?

Pr3Zn2Rh4